Theoretical XRD peak list of MgPb3I8 for λ = 1.5418 Å (Cu Kα), from a cell relaxed with GGA-PBE.
Neutral-atom scattering factors, no anomalous dispersion.

Principal peaks in the range 2θ = 5–70°, in order of rising 2θ:
Position (°2θ)	I_rel
11.65	705
22.82	360
27.38	1000
27.59	493
38.77	191
39.07	378
39.46	542
48.83	189

Cell lengths 9.1342, 9.1342, 9.2924 Å; angles 119.93, 119.93, 60.00 degrees
Fractional coordinates of all 12 atoms:
Mg 0.0000 0.0000 0.0000
Pb 0.0000 0.5000 0.0000
Pb 0.5000 0.0000 0.0000
Pb 0.5000 0.5000 0.0000
I 0.2268 0.7692 0.7688
I 0.2309 0.2309 0.2314
I 0.2308 0.7732 0.2312
I 0.2483 0.2483 0.7485
I 0.7517 0.7517 0.2515
I 0.7692 0.2268 0.7688
I 0.7691 0.7691 0.7686
I 0.7732 0.2308 0.2312